Structure and simulated X-ray diffraction stick pattern of Ho2Mn16Cr (a PBE-relaxed structure; CuKα).

Main lines, sorted by position (2θ from 5° to 70°):
hkl 1 1 3, 31.0 deg, rel. 47.0
hkl 2 1 1, 32.7 deg, rel. 27.3
hkl 3 0 0, 36.1 deg, rel. 47.7
hkl 0 2 4, 39.3 deg, rel. 62.2
hkl 2 2 0, 41.9 deg, rel. 87.5
hkl 3 0 3, 43.2 deg, rel. 100.0
hkl 2 1 4, 44.7 deg, rel. 32.0
hkl 1 4 3, 61.8 deg, rel. 27.9

Structure:
```
data_Ho2Mn16Cr
_space_group_name_H-M_alt 'R 3 m'
_space_group_IT_number 160
_space_group_name_Hall 'R 3 -2"'
_cell_length_a 8.6210
_cell_length_b 8.6210
_cell_length_c 11.6364
_cell_angle_alpha 90.00
_cell_angle_beta 90.00
_cell_angle_gamma 120.00
loop_
_atom_site_label
_atom_site_fract_x
_atom_site_fract_y
_atom_site_fract_z
_atom_site_occupancy
Ho1 0.0000 0.0000 0.0000 1
Ho2 0.0000 0.0000 0.2916 1
Mn1 0.0000 0.0000 0.5461 1
Mn2 0.9997 0.2754 0.6456 1
Mn3 0.0129 0.5064 0.5098 1
Mn4 0.1676 0.3351 0.4797 1
Mn5 0.1735 0.3469 0.1165 1
Cr1 0.0000 0.0000 0.7427 1
```